No. 1
# LiCd3
Theoretical powder X-ray diffraction pattern, λ = 1.5418 Å (Cu Kα). Input: a cell relaxed with GGA-PBE.
Intensities are scaled so that the largest is 100.

Structural model:
a b c (Å): 5.7575 5.7575 5.7575
angles (deg): 147.95 66.07 123.92
Fractional coordinates of all 4 atoms:
Li: 0.0000 0.0000 0.0000
Cd: 0.4116 0.6650 0.7466
Cd: 0.4999 0.9999 0.5000
Cd: 0.9184 0.6650 0.2534

Peak list (12 most intense, 10° ≤ 2θ ≤ 90°, low angle first)
18.38°, I 19; 18.79°, I 35; 32.67°, I 31; 33.10°, I 15; 37.26°, I 33; 37.74°, I 100; 38.12°, I 48; 50.38°, I 17; 58.85°, I 17; 67.51°, I 17; 71.58°, I 15; 71.75°, I 18

***

No. 2
# Li3Cd
Theoretical powder X-ray diffraction pattern, λ = 1.5418 Å (Cu Kα). Input: a cell relaxed with GGA-PBE.
Intensities are scaled so that the largest is 100.

Structural model:
a b c (Å): 5.7382 5.7382 4.5604
angles (deg): 90.00 90.00 79.47
Fractional coordinates of all 8 atoms:
Li: 0.1061 0.8939 0.7500
Li: 0.1439 0.3975 0.7500
Li: 0.3975 0.1439 0.2500
Li: 0.6025 0.8561 0.7500
Li: 0.8561 0.6025 0.2500
Li: 0.8939 0.1061 0.2500
Cd: 0.3496 0.6504 0.2500
Cd: 0.6504 0.3496 0.7500

Peak list (12 most intense, 10° ≤ 2θ ≤ 90°, low angle first)
15.71°, I 78; 20.12°, I 65; 25.11°, I 100; 31.30°, I 39; 37.49°, I 67; 38.19°, I 24; 38.43°, I 35; 39.52°, I 16; 44.74°, I 16; 52.39°, I 18; 56.13°, I 15; 58.15°, I 15

***

No. 3
# Li4Cd
Theoretical powder X-ray diffraction pattern, λ = 1.5418 Å (Cu Kα). Input: a cell relaxed with GGA-PBE.
Intensities are scaled so that the largest is 100.

Structural model:
a b c (Å): 4.9303 6.0881 7.5533
angles (deg): 90.00 126.26 90.00
Fractional coordinates of all 10 atoms:
Li: 0.0741 0.2091 0.0692
Li: 0.0741 0.2909 0.5692
Li: 0.2932 0.5705 0.2919
Li: 0.2932 0.9295 0.7919
Li: 0.7068 0.0705 0.2081
Li: 0.7068 0.4295 0.7081
Li: 0.9259 0.7091 0.4308
Li: 0.9259 0.7909 0.9308
Cd: 0.5000 0.0000 0.5000
Cd: 0.5000 0.5000 0.0000

Peak list (12 most intense, 10° ≤ 2θ ≤ 90°, low angle first)
20.63°, I 100; 22.36°, I 40; 23.26°, I 72; 24.11°, I 33; 29.33°, I 44; 36.60°, I 47; 37.20°, I 28; 38.33°, I 26; 38.87°, I 25; 41.31°, I 16; 43.35°, I 14; 47.19°, I 31

***

No. 4
# Li3Cd7
Theoretical powder X-ray diffraction pattern, λ = 1.5418 Å (Cu Kα). Input: a cell relaxed with GGA-PBE.
Intensities are scaled so that the largest is 100.

Structural model:
a b c (Å): 8.0143 8.0143 5.9651
angles (deg): 110.46 110.46 33.85
Fractional coordinates of all 10 atoms:
Li: 0.0000 0.0000 0.0000
Li: 0.1972 0.1972 0.7138
Li: 0.8028 0.8028 0.2862
Cd: 0.0000 0.0000 0.5000
Cd: 0.1992 0.1992 0.2105
Cd: 0.3913 0.3913 0.6331
Cd: 0.3920 0.3920 0.1325
Cd: 0.6080 0.6080 0.8675
Cd: 0.6087 0.6087 0.3669
Cd: 0.8008 0.8008 0.7895

Peak list (12 most intense, 10° ≤ 2θ ≤ 90°, low angle first)
20.02°, I 19; 23.62°, I 19; 24.22°, I 26; 27.12°, I 31; 27.47°, I 26; 36.17°, I 39; 36.44°, I 61; 36.91°, I 100; 38.59°, I 46; 38.86°, I 29; 39.89°, I 19; 55.92°, I 19

***

No. 5
# Li5Cd2
Theoretical powder X-ray diffraction pattern, λ = 1.5418 Å (Cu Kα). Input: a cell relaxed with GGA-PBE.
Intensities are scaled so that the largest is 100.

Structural model:
a b c (Å): 7.3477 7.3477 7.3477
angles (deg): 37.60 37.60 37.60
Fractional coordinates of all 7 atoms:
Li: 0.0000 0.0000 0.0000
Li: 0.2781 0.2781 0.2781
Li: 0.4312 0.4312 0.4312
Li: 0.5688 0.5688 0.5688
Li: 0.7219 0.7219 0.7219
Cd: 0.1367 0.1367 0.1367
Cd: 0.8633 0.8633 0.8633

Peak list (12 most intense, 10° ≤ 2θ ≤ 90°, low angle first)
12.98°, I 100; 22.10°, I 54; 27.88°, I 64; 37.79°, I 39; 38.00°, I 41; 40.32°, I 37; 41.62°, I 17; 47.78°, I 14; 54.67°, I 13; 62.61°, I 12; 68.08°, I 10; 68.51°, I 13

***

No. 6
# Li2Cd3
Theoretical powder X-ray diffraction pattern, λ = 1.5418 Å (Cu Kα). Input: a cell relaxed with GGA-PBE.
Intensities are scaled so that the largest is 100.

Structural model:
a b c (Å): 4.9820 4.9820 4.9820
angles (deg): 70.42 70.42 70.42
Fractional coordinates of all 5 atoms:
Li: 0.1178 0.1178 0.1178
Li: 0.8822 0.8822 0.8822
Cd: 0.0000 0.5000 0.5000
Cd: 0.5000 0.0000 0.5000
Cd: 0.5000 0.5000 0.0000

Peak list (12 most intense, 10° ≤ 2θ ≤ 90°, low angle first)
19.54°, I 36; 23.95°, I 100; 31.14°, I 11; 37.02°, I 87; 39.67°, I 76; 49.06°, I 41; 55.33°, I 23; 64.91°, I 18; 70.14°, I 12; 70.26°, I 23; 77.14°, I 12; 85.45°, I 20

***

No. 7
# Li5Cd2
Theoretical powder X-ray diffraction pattern, λ = 1.5418 Å (Cu Kα). Input: a cell relaxed with GGA-PBE.
Intensities are scaled so that the largest is 100.

Structural model:
a b c (Å): 5.0495 5.0495 6.7927
angles (deg): 98.95 98.95 48.85
Fractional coordinates of all 7 atoms:
Li: 0.0000 0.0000 0.0000
Li: 0.1407 0.1407 0.4341
Li: 0.2885 0.2885 0.8589
Li: 0.7115 0.7115 0.1411
Li: 0.8593 0.8593 0.5659
Cd: 0.4242 0.4242 0.2818
Cd: 0.5758 0.5758 0.7182

Peak list (12 most intense, 10° ≤ 2θ ≤ 90°, low angle first)
19.60°, I 33; 21.73°, I 64; 23.46°, I 100; 25.56°, I 24; 26.17°, I 38; 26.64°, I 39; 34.45°, I 20; 37.08°, I 52; 37.34°, I 51; 40.98°, I 26; 44.34°, I 20; 49.00°, I 18

***

No. 8
# Li24Cd5
Theoretical powder X-ray diffraction pattern, λ = 1.5418 Å (Cu Kα). Input: a cell relaxed with GGA-PBE.
Intensities are scaled so that the largest is 100.

Structural model:
a b c (Å): 8.8361 8.8361 8.8361
angles (deg): 109.47 109.47 109.47
Fractional coordinates of all 29 atoms:
Li: 0.0000 0.3126 0.5975
Li: 0.0000 0.5975 0.3126
Li: 0.0000 0.6312 0.8110
Li: 0.0000 0.8110 0.6312
Li: 0.1798 0.3688 0.3688
Li: 0.1890 0.1890 0.8202
Li: 0.1890 0.8202 0.1890
Li: 0.2848 0.6874 0.6874
Li: 0.3126 0.0000 0.5975
Li: 0.3126 0.5975 0.0000
Li: 0.3688 0.1798 0.3688
Li: 0.3688 0.3688 0.1798
Li: 0.4025 0.4025 0.7152
Li: 0.4025 0.7152 0.4025
Li: 0.5975 0.0000 0.3126
Li: 0.5975 0.3126 0.0000
Li: 0.6312 0.0000 0.8110
Li: 0.6312 0.8110 0.0000
Li: 0.6874 0.2848 0.6874
Li: 0.6874 0.6874 0.2848
Li: 0.7152 0.4025 0.4025
Li: 0.8110 0.0000 0.6312
Li: 0.8110 0.6312 0.0000
Li: 0.8202 0.1890 0.1890
Cd: 0.0000 0.0000 0.0000
Cd: 0.0000 0.0000 0.3661
Cd: 0.0000 0.3661 0.0000
Cd: 0.3661 0.0000 0.0000
Cd: 0.6339 0.6339 0.6339

Peak list (12 most intense, 10° ≤ 2θ ≤ 90°, low angle first)
12.27°, I 69; 17.38°, I 16; 21.33°, I 91; 24.68°, I 37; 32.84°, I 48; 37.39°, I 100; 43.45°, I 15; 45.32°, I 17; 53.92°, I 17; 55.52°, I 29; 67.45°, I 24; 75.74°, I 12

***

Repeat the second record exactly.
# Li3Cd
Theoretical powder X-ray diffraction pattern, λ = 1.5418 Å (Cu Kα). Input: a cell relaxed with GGA-PBE.
Intensities are scaled so that the largest is 100.

Structural model:
a b c (Å): 5.7382 5.7382 4.5604
angles (deg): 90.00 90.00 79.47
Fractional coordinates of all 8 atoms:
Li: 0.1061 0.8939 0.7500
Li: 0.1439 0.3975 0.7500
Li: 0.3975 0.1439 0.2500
Li: 0.6025 0.8561 0.7500
Li: 0.8561 0.6025 0.2500
Li: 0.8939 0.1061 0.2500
Cd: 0.3496 0.6504 0.2500
Cd: 0.6504 0.3496 0.7500

Peak list (12 most intense, 10° ≤ 2θ ≤ 90°, low angle first)
15.71°, I 78; 20.12°, I 65; 25.11°, I 100; 31.30°, I 39; 37.49°, I 67; 38.19°, I 24; 38.43°, I 35; 39.52°, I 16; 44.74°, I 16; 52.39°, I 18; 56.13°, I 15; 58.15°, I 15